Simulated powder diffractogram
Compound: Na2CoO3
Radiation: λ = 1.5418 Å (Cu Kα)
Structure: a cell relaxed with PBE+U
Lines closer than 0.1° are merged.

Cell: 5.612 10.443 11.295 Å, 90.00 90.00 90.00°
Space group Cmce (No. 64)
One atom of each set of equivalent atoms:
1 Na 0.000 0.036 0.145 [8 per cell]
2 Na 0.000 0.134 0.579 [8 per cell]
3 Co 0.000 0.245 0.341 [8 per cell]
4 O 0.000 0.079 0.361 [8 per cell]
5 O 0.000 0.163 0.971 [8 per cell]
6 O 0.250 0.193 0.750 [8 per cell]

Largest 8 diffraction maxima, most intense first, 2θ = 10–90°:
- 23.9°, I = 100
- 31.9°, I = 78
- 17.0°, I = 69
- 34.2°, I = 69
- 36.7°, I = 38
- 45.6°, I = 27
- 58.3°, I = 21
- 49.3°, I = 17

***

Simulated powder diffractogram
Compound: NaCo3O6
Radiation: λ = 1.5418 Å (Cu Kα)
Structure: a cell relaxed with PBE+U
Lines closer than 0.1° are merged.

Cell: 4.960 8.680 5.946 Å, 90.00 106.50 90.00°
Space group C2 (No. 5)
One atom of each set of equivalent atoms:
1 Na 0.000 0.000 0.000 [2 per cell]
2 Co 0.000 0.170 0.500 [2 per cell]
3 Co 0.000 0.500 0.500 [2 per cell]
4 Co 0.000 0.835 0.500 [2 per cell]
5 O 0.217 0.666 0.670 [4 per cell]
6 O 0.230 0.991 0.673 [4 per cell]
7 O 0.234 0.345 0.674 [4 per cell]

Largest 8 diffraction maxima, most intense first, 2θ = 10–90°:
- 15.5°, I = 100
- 42.0°, I = 41
- 52.4°, I = 15
- 36.3°, I = 11
- 31.4°, I = 9
- 56.6°, I = 7
- 65.0°, I = 7
- 37.5°, I = 7

***

Simulated powder diffractogram
Compound: Na3Co4O8
Radiation: λ = 1.5418 Å (Cu Kα)
Structure: a cell relaxed with PBE+U
Lines closer than 0.1° are merged.

Cell: 10.247 6.035 6.452 Å, 90.00 121.98 90.00°
Space group C2/m (No. 12)
One atom of each set of equivalent atoms:
1 Na 0.000 0.000 0.000 [2 per cell]
2 Na 0.250 0.250 0.000 [4 per cell]
3 Co 0.000 0.000 0.500 [2 per cell]
4 Co 0.000 0.500 0.500 [2 per cell]
5 Co 0.250 0.250 0.500 [4 per cell]
6 O 0.022 0.245 0.311 [8 per cell]
7 O 0.216 0.000 0.688 [4 per cell]
8 O 0.234 0.500 0.703 [4 per cell]

Largest 8 diffraction maxima, most intense first, 2θ = 10–90°:
- 16.2°, I = 100
- 41.1°, I = 67
- 41.6°, I = 31
- 36.2°, I = 19
- 57.2°, I = 18
- 62.5°, I = 17
- 32.7°, I = 16
- 34.9°, I = 15

***

Simulated powder diffractogram
Compound: Na3Co5O10
Radiation: λ = 1.5418 Å (Cu Kα)
Structure: a cell relaxed with PBE+U
Lines closer than 0.1° are merged.

Cell: 11.285 14.684 4.981 Å, 90.00 97.71 90.00°
Space group Cm (No. 8)
One atom of each set of equivalent atoms:
1 Na 0.000 0.000 0.000 [2 per cell]
2 Na 0.002 0.197 0.014 [4 per cell]
3 Na 0.007 0.302 0.513 [4 per cell]
4 Na 0.011 0.500 0.495 [2 per cell]
5 Co 0.246 0.399 0.087 [4 per cell]
6 Co 0.254 0.097 0.588 [4 per cell]
7 Co 0.259 0.194 0.092 [4 per cell]
8 Co 0.261 0.000 0.092 [2 per cell]
9 Co 0.263 0.295 0.596 [4 per cell]
10 Co 0.272 0.500 0.594 [2 per cell]
11 O 0.161 0.500 0.878 [2 per cell]
12 O 0.163 0.283 0.896 [4 per cell]
13 O 0.167 0.190 0.387 [4 per cell]
14 O 0.168 0.389 0.405 [4 per cell]
15 O 0.170 0.097 0.900 [4 per cell]
16 O 0.172 0.000 0.394 [2 per cell]
17 O 0.342 0.000 0.777 [2 per cell]
18 O 0.346 0.098 0.292 [4 per cell]
19 O 0.346 0.193 0.783 [4 per cell]
20 O 0.348 0.500 0.285 [2 per cell]
21 O 0.349 0.283 0.280 [4 per cell]
22 O 0.353 0.394 0.807 [4 per cell]

Largest 8 diffraction maxima, most intense first, 2θ = 10–90°:
- 15.9°, I = 100
- 44.7°, I = 33
- 37.0°, I = 23
- 45.7°, I = 16
- 35.9°, I = 14
- 32.0°, I = 13
- 37.8°, I = 11
- 64.5°, I = 11

***

Simulated powder diffractogram
Compound: Na2CoO3
Radiation: λ = 1.5418 Å (Cu Kα)
Structure: a cell relaxed with PBE+U
Lines closer than 0.1° are merged.

Cell: 5.415 6.976 7.177 Å, 80.15 83.28 84.42°
Space group P1 (No. 1)
One atom of each set of equivalent atoms:
1 Na 0.000 0.000 0.000 [1 per cell]
2 Na 0.001 0.346 0.665 [1 per cell]
3 Na 0.006 0.653 0.339 [1 per cell]
4 Na 0.247 0.246 0.252 [1 per cell]
5 Na 0.498 0.841 0.166 [1 per cell]
6 Na 0.501 0.499 0.503 [1 per cell]
7 Na 0.510 0.152 0.840 [1 per cell]
8 Na 0.757 0.750 0.752 [1 per cell]
9 Co 0.254 0.917 0.580 [1 per cell]
10 Co 0.269 0.576 0.923 [1 per cell]
11 Co 0.730 0.423 0.093 [1 per cell]
12 Co 0.763 0.082 0.415 [1 per cell]
13 O 0.064 0.967 0.327 [1 per cell]
14 O 0.152 0.345 0.945 [1 per cell]
15 O 0.168 0.661 0.641 [1 per cell]
16 O 0.342 0.832 0.875 [1 per cell]
17 O 0.386 0.539 0.174 [1 per cell]
18 O 0.414 0.150 0.539 [1 per cell]
19 O 0.592 0.842 0.464 [1 per cell]
20 O 0.624 0.452 0.848 [1 per cell]
21 O 0.662 0.157 0.150 [1 per cell]
22 O 0.836 0.343 0.360 [1 per cell]
23 O 0.868 0.650 0.055 [1 per cell]
24 O 0.922 0.038 0.655 [1 per cell]

Largest 8 diffraction maxima, most intense first, 2θ = 10–90°:
- 16.5°, I = 100
- 39.6°, I = 81
- 40.4°, I = 78
- 41.7°, I = 64
- 35.6°, I = 43
- 33.4°, I = 39
- 35.3°, I = 23
- 56.6°, I = 22

***

Simulated powder diffractogram
Compound: NaCo2O3
Radiation: λ = 1.5418 Å (Cu Kα)
Structure: a cell relaxed with PBE+U
Lines closer than 0.1° are merged.

Cell: 10.254 5.934 5.161 Å, 90.00 90.00 90.00°
Space group Cmc2_1 (No. 36)
One atom of each set of equivalent atoms:
1 Na 0.000 0.173 0.000 [4 per cell]
2 Co 0.167 0.338 0.513 [8 per cell]
3 O 0.000 0.219 0.475 [4 per cell]
4 O 0.194 0.357 0.895 [8 per cell]

Largest 8 diffraction maxima, most intense first, 2θ = 10–90°:
- 34.9°, I = 100
- 30.2°, I = 72
- 34.8°, I = 51
- 53.6°, I = 44
- 65.5°, I = 43
- 17.3°, I = 37
- 62.4°, I = 30
- 46.7°, I = 30

***

Simulated powder diffractogram
Compound: Na2CoO3
Radiation: λ = 1.5418 Å (Cu Kα)
Structure: a cell relaxed with PBE+U
Lines closer than 0.1° are merged.

Cell: 5.063 11.283 6.020 Å, 90.00 90.42 90.00°
Space group Pm (No. 6)
One atom of each set of equivalent atoms:
1 Na 0.000 0.161 0.000 [2 per cell]
2 Na 0.003 0.339 0.501 [2 per cell]
3 Na 0.498 0.336 0.860 [2 per cell]
4 Na 0.499 0.165 0.367 [2 per cell]
5 Co 0.024 0.500 0.995 [1 per cell]
6 Co 0.027 0.000 0.500 [1 per cell]
7 Co 0.528 0.000 0.863 [1 per cell]
8 Co 0.534 0.500 0.341 [1 per cell]
9 O 0.377 0.000 0.577 [1 per cell]
10 O 0.393 0.500 0.061 [1 per cell]
11 O 0.472 0.365 0.481 [2 per cell]
12 O 0.482 0.140 0.973 [2 per cell]
13 O 0.877 0.000 0.784 [1 per cell]
14 O 0.892 0.500 0.288 [1 per cell]
15 O 0.980 0.141 0.392 [2 per cell]
16 O 0.980 0.358 0.896 [2 per cell]

Largest 8 diffraction maxima, most intense first, 2θ = 10–90°:
- 15.7°, I = 100
- 35.5°, I = 98
- 28.0°, I = 89
- 29.7°, I = 73
- 24.4°, I = 61
- 24.2°, I = 58
- 51.6°, I = 54
- 33.1°, I = 52